No. 1
For CaGa4Cu2Pd, DFT lattice parameters and positions (GGA-PBE) gives the calculated powder XRD pattern in this record (Cu Kα X-rays).

Top 10 peaks for 10° ≤ 2θ ≤ 90°, by angle:
- d = 2.507 Å, 35.81°, rel. 86
- d = 2.203 Å, 40.97°, rel. 16
- d = 2.102 Å, 43.03°, rel. 100
- d = 2.069 Å, 43.74°, rel. 54
- d = 2.049 Å, 44.19°, rel. 17
- d = 1.611 Å, 57.18°, rel. 21
- d = 1.475 Å, 63.04°, rel. 18
- d = 1.279 Å, 74.16°, rel. 19
- d = 1.214 Å, 78.88°, rel. 18
- d = 1.207 Å, 79.37°, rel. 18

Crystal structure
Cell: 9.5364 9.5364 9.5364 Å, 25.47 25.47 25.47°
Sites, in units of the cell vectors:
Ca1 0.0000 0.0000 0.0000
Ga1 0.1261 0.1261 0.1261
Ga2 0.4025 0.4025 0.4025
Ga3 0.5975 0.5975 0.5975
Ga4 0.8739 0.8739 0.8739
Cu1 0.2328 0.2328 0.2328
Cu2 0.7672 0.7672 0.7672
Pd1 0.5000 0.5000 0.5000

No. 2
For Y2NiRh, DFT lattice parameters and positions (GGA-PBE) gives the calculated powder XRD pattern in this record (Cu Kα X-rays).

Top 10 peaks for 10° ≤ 2θ ≤ 90°, by angle:
- d = 2.720 Å, 32.93°, rel. 100
- d = 2.651 Å, 33.81°, rel. 24
- d = 2.610 Å, 34.36°, rel. 31
- d = 2.226 Å, 40.52°, rel. 32
- d = 2.202 Å, 40.99°, rel. 70
- d = 2.050 Å, 44.18°, rel. 28
- d = 1.935 Å, 46.97°, rel. 23
- d = 1.622 Å, 56.74°, rel. 18
- d = 1.460 Å, 63.73°, rel. 16
- d = 1.162 Å, 83.12°, rel. 24

Crystal structure
Cell: 5.6424 4.1000 7.7383 Å, 90.00 109.98 90.00°
Sites, in units of the cell vectors:
Y1 0.2159 0.2500 0.4285
Y2 0.2161 0.2500 0.9299
Y3 0.7839 0.7500 0.0701
Y4 0.7841 0.7500 0.5715
Ni1 0.3469 0.7500 0.2100
Ni2 0.6531 0.2500 0.7900
Rh1 0.3467 0.7500 0.7135
Rh2 0.6533 0.2500 0.2865